1.
Diffraction record for FeCo16NiS16. The XRD peak list is theoretical, not measured: it uses the GGA-PBE geometry in Alexandria and λ = 1.5418 Å (Cu Kα).

Cell and atoms:
Unit cell a=6.944 b=6.944 c=9.807 alpha=90.00 beta=90.00 gamma=90.00
Space group P4/mmm (No. 123)
Inequivalent atoms, fractional coordinates:
Fe1 0.000 0.000 0.000 x1
Co1 0.000 0.253 0.372 x8
Co2 0.248 0.500 0.126 x8
Ni1 0.500 0.500 0.500 x1
S1 0.000 0.000 0.235 x2
S2 0.000 0.500 0.247 x4
S3 0.236 0.236 0.000 x4
S4 0.257 0.257 0.500 x4
S5 0.500 0.500 0.258 x2

Top 10 peaks for 10 to 90 degrees two-theta, most intense first:
- hkl 4 0 0, 52.76°, intensity 100
- hkl 2 1 1, 30.20°, intensity 89
- hkl 3 2 1, 48.17°, intensity 33
- hkl 1 0 1, 15.64°, intensity 24
- hkl 2 0 2, 31.58°, intensity 19
- hkl 5 0 3, 74.21°, intensity 16
- hkl 2 1 3, 40.04°, intensity 15
- hkl 4 1 3, 62.00°, intensity 10
- hkl 4 4 0, 77.81°, intensity 10
- hkl 5 0 5, 85.72°, intensity 9

***

2.
Diffraction record for FeCoNi2Se6. The XRD peak list is theoretical, not measured: it uses the GGA-PBE geometry in Alexandria and λ = 1.5418 Å (Cu Kα).

Cell and atoms:
Unit cell a=10.934 b=11.417 c=5.953 alpha=90.00 beta=111.88 gamma=90.00
Space group C2/c (No. 15)
Inequivalent atoms, fractional coordinates:
Fe1 0.000 0.243 0.250 x4
Co1 0.000 0.425 0.750 x4
Ni1 0.129 0.100 0.700 x8
Se1 0.100 0.100 0.080 x8
Se2 0.126 0.412 0.173 x8
Se3 0.135 0.298 0.649 x8

Top 10 peaks for 10 to 90 degrees two-theta, most intense first:
- hkl 3 3 -1, 34.67°, intensity 100
- hkl 4 0 0, 35.39°, intensity 85
- hkl 2 0 -2, 30.54°, intensity 70
- hkl 6 0 -2, 51.82°, intensity 58
- hkl 2 0 2, 42.71°, intensity 54
- hkl 4 4 0, 48.01°, intensity 39
- hkl 2 0 0, 17.48°, intensity 36
- hkl 2 4 -1, 36.81°, intensity 29
- hkl 1 3 -3, 52.90°, intensity 29
- hkl 0 0 2, 32.41°, intensity 29

***

3.
Diffraction record for UFeCoNi. The XRD peak list is theoretical, not measured: it uses the GGA-PBE geometry in Alexandria and λ = 1.5418 Å (Cu Kα).

Cell and atoms:
Unit cell a=3.611 b=3.778 c=3.915 alpha=90.00 beta=90.00 gamma=90.00
Space group Pmmm (No. 47)
Inequivalent atoms, fractional coordinates:
U1 0.000 0.000 0.000 x1
Fe1 0.500 0.500 0.000 x1
Co1 0.500 0.000 0.500 x1
Ni1 0.000 0.500 0.500 x1

Top 10 peaks for 10 to 90 degrees two-theta, most intense first:
- hkl 1 1 1, 41.58°, intensity 100
- hkl 0 0 2, 46.39°, intensity 18
- hkl 0 0 1, 22.71°, intensity 17
- hkl 0 1 0, 23.55°, intensity 17
- hkl 0 2 0, 48.17°, intensity 16
- hkl 1 0 0, 24.65°, intensity 16
- hkl 0 1 1, 32.95°, intensity 16
- hkl 2 0 0, 50.55°, intensity 14
- hkl 1 0 1, 33.77°, intensity 14
- hkl 1 1 3, 82.67°, intensity 13

***

4.
Diffraction record for Np2Fe5Co5. The XRD peak list is theoretical, not measured: it uses the GGA-PBE geometry in Alexandria and λ = 1.5418 Å (Cu Kα).

Cell and atoms:
Unit cell a=4.047 b=4.878 c=8.370 alpha=90.00 beta=90.00 gamma=90.00
Space group Pmmm (No. 47)
Inequivalent atoms, fractional coordinates:
Np1 0.000 0.000 0.000 x1
Np2 0.000 0.500 0.500 x1
Fe1 0.000 0.000 0.328 x2
Fe2 0.000 0.500 0.168 x2
Fe3 0.500 0.000 0.500 x1
Co1 0.500 0.250 0.249 x4
Co2 0.500 0.500 0.000 x1

Top 10 peaks for 10 to 90 degrees two-theta, most intense first:
- hkl 1 1 3, 43.55°, intensity 100
- hkl 1 1 1, 30.62°, intensity 85
- hkl 1 2 0, 43.29°, intensity 72
- hkl 1 0 2, 30.73°, intensity 41
- hkl 0 1 3, 37.12°, intensity 39
- hkl 2 0 0, 44.78°, intensity 39
- hkl 0 2 2, 42.92°, intensity 39
- hkl 2 2 2, 63.76°, intensity 24
- hkl 1 0 0, 21.96°, intensity 23
- hkl 0 1 1, 21.08°, intensity 23